Entry 1:
Calculated powder X-ray diffraction pattern of Li4V3O8 for Cu Ka, from the PBE+U geometry in the Materials Project.

Structure:
Cell lengths 5.853, 6.149, 10.132 Å; angles 105.97, 90.11, 118.32 degrees
Space group P1 (No. 1)
One atom of each set of equivalent atoms:
Li 0.000 0.000 0.000 (multiplicity 1)
Li 0.028 0.076 0.683 (multiplicity 1)
Li 0.062 0.145 0.359 (multiplicity 1)
Li 0.276 0.573 0.430 (multiplicity 1)
Li 0.489 0.000 0.501 (multiplicity 1)
Li 0.539 0.077 0.182 (multiplicity 1)
Li 0.576 0.146 0.860 (multiplicity 1)
Li 0.786 0.573 0.929 (multiplicity 1)
V 0.025 0.566 0.682 (multiplicity 1)
V 0.033 0.566 0.181 (multiplicity 1)
V 0.276 0.575 0.932 (multiplicity 1)
V 0.532 0.580 0.680 (multiplicity 1)
V 0.540 0.580 0.179 (multiplicity 1)
V 0.787 0.574 0.433 (multiplicity 1)
O 0.111 0.783 0.547 (multiplicity 1)
O 0.162 0.784 0.046 (multiplicity 1)
O 0.164 0.368 0.571 (multiplicity 1)
O 0.185 0.365 0.062 (multiplicity 1)
O 0.376 0.781 0.289 (multiplicity 1)
O 0.381 0.781 0.799 (multiplicity 1)
O 0.420 0.379 0.809 (multiplicity 1)
O 0.448 0.379 0.309 (multiplicity 1)
O 0.634 0.781 0.560 (multiplicity 1)
O 0.636 0.781 0.060 (multiplicity 1)
O 0.671 0.365 0.563 (multiplicity 1)
O 0.695 0.369 0.071 (multiplicity 1)
O 0.890 0.778 0.299 (multiplicity 1)
O 0.896 0.781 0.789 (multiplicity 1)
O 0.914 0.361 0.309 (multiplicity 1)
O 0.936 0.358 0.809 (multiplicity 1)

The 10 most intense peaks (5° ≤ 2θ ≤ 70°), by angle:
| h k l | Position (°2θ) | I_rel |
| --- | --- | --- |
| 0 1 0 | 17.25 | 100 |
| 0 0 2 | 18.43 | 21 |
| -1 1 1 | 20.98 | 11 |
| 1 -2 3 | 35.30 | 10 |
| 2 -1 2 | 35.92 | 29 |
| 2 0 2 | 42.70 | 58 |
| 2 1 2 | 55.28 | 12 |
| 0 2 4 | 60.38 | 11 |
| 2 -2 6 | 63.63 | 11 |
| 2 -1 6 | 66.49 | 7 |



Entry 2:
Calculated powder X-ray diffraction pattern of LaZnCr2O6 for Cu Ka, from the PBE+U geometry in the Materials Project.

Structure:
Cell lengths 7.796, 5.404, 5.333 Å; angles 90.00, 90.00, 90.00 degrees
Space group Pmn2_1 (No. 31)
One atom of each set of equivalent atoms:
La 0.000 0.213 0.000 (multiplicity 2)
Zn 0.000 0.722 0.487 (multiplicity 2)
Cr 0.249 0.255 0.492 (multiplicity 4)
O 0.000 0.304 0.572 (multiplicity 2)
O 0.000 0.772 0.870 (multiplicity 2)
O 0.194 0.949 0.313 (multiplicity 4)
O 0.200 0.465 0.218 (multiplicity 4)

The 10 most intense peaks (5° ≤ 2θ ≤ 70°), by angle:
| h k l | Position (°2θ) | I_rel |
| --- | --- | --- |
| 2 1 1 | 32.94 | 100 |
| 0 2 0 | 33.16 | 22 |
| 0 0 2 | 33.61 | 22 |
| 4 0 0 | 46.60 | 15 |
| 0 2 2 | 47.93 | 25 |
| 4 2 0 | 58.38 | 11 |
| 4 0 2 | 58.67 | 11 |
| 2 3 1 | 59.09 | 16 |
| 2 1 3 | 59.67 | 23 |
| 4 2 2 | 69.08 | 13 |



Entry 3:
Calculated powder X-ray diffraction pattern of VPPbO6 for Cu Ka, from the PBE+U geometry in the Materials Project.

Structure:
Cell lengths 5.701, 9.964, 8.576 Å; angles 90.00, 91.22, 90.00 degrees
Space group P2_1/c (No. 14)
One atom of each set of equivalent atoms:
V 0.153 0.089 0.089 (multiplicity 4)
P 0.162 0.109 0.714 (multiplicity 4)
Pb 0.376 0.685 0.074 (multiplicity 4)
O 0.003 0.220 0.639 (multiplicity 4)
O 0.021 0.526 0.227 (multiplicity 4)
O 0.179 0.576 0.528 (multiplicity 4)
O 0.246 0.159 0.880 (multiplicity 4)
O 0.373 0.075 0.612 (multiplicity 4)
O 0.410 0.133 0.173 (multiplicity 4)

The 10 most intense peaks (5° ≤ 2θ ≤ 70°), by angle:
| h k l | Position (°2θ) | I_rel |
| --- | --- | --- |
| 1 1 1 | 20.90 | 50 |
| 0 1 2 | 22.58 | 31 |
| 1 2 0 | 23.72 | 39 |
| 1 2 -1 | 25.79 | 78 |
| 1 0 2 | 26.28 | 83 |
| 1 1 -2 | 27.27 | 100 |
| 0 3 1 | 28.83 | 44 |
| 2 1 0 | 32.68 | 56 |
| 1 3 1 | 33.02 | 44 |
| 1 4 -1 | 40.83 | 39 |



Entry 4:
Calculated powder X-ray diffraction pattern of Ba5Ho8Mn4O21 for Cu Ka, from the PBE+U geometry in the Materials Project.

Structure:
Cell lengths 13.971, 13.971, 5.782 Å; angles 90.00, 90.00, 90.00 degrees
Space group I4/m (No. 87)
One atom of each set of equivalent atoms:
Ba 0.000 0.000 0.000 (multiplicity 2)
Ba 0.035 0.639 0.500 (multiplicity 8)
Ho 0.089 0.141 0.500 (multiplicity 8)
Ho 0.170 0.752 0.000 (multiplicity 8)
Mn 0.040 0.248 0.000 (multiplicity 8)
O 0.000 0.000 0.500 (multiplicity 2)
O 0.039 0.627 0.000 (multiplicity 8)
O 0.049 0.823 0.252 (multiplicity 16)
O 0.150 0.256 0.252 (multiplicity 16)

The 10 most intense peaks (5° ≤ 2θ ≤ 70°), by angle:
| h k l | Position (°2θ) | I_rel |
| --- | --- | --- |
| 3 2 1 | 27.71 | 47 |
| 4 2 0 | 28.57 | 17 |
| 1 4 1 | 30.58 | 100 |
| 0 0 2 | 30.93 | 41 |
| 3 4 1 | 35.69 | 35 |
| 5 3 0 | 37.54 | 14 |
| 4 2 2 | 42.61 | 19 |
| 5 1 2 | 45.62 | 18 |
| 1 4 3 | 54.80 | 19 |
| 1 7 2 | 56.41 | 13 |



Entry 5:
Calculated powder X-ray diffraction pattern of Mn2O3F for Cu Ka, from the PBE+U geometry in the Materials Project.

Structure:
Cell lengths 5.524, 4.592, 10.182 Å; angles 90.00, 96.87, 90.00 degrees
Space group P2_1/c (No. 14)
One atom of each set of equivalent atoms:
Mn 0.000 0.000 0.000 (multiplicity 2)
Mn 0.245 0.022 0.739 (multiplicity 4)
Mn 0.500 0.000 0.500 (multiplicity 2)
O 0.017 0.703 0.676 (multiplicity 4)
O 0.223 0.194 0.572 (multiplicity 4)
O 0.491 0.199 0.329 (multiplicity 4)
F 0.281 0.683 0.410 (multiplicity 4)

The 10 most intense peaks (5° ≤ 2θ ≤ 70°), by angle:
| h k l | Position (°2θ) | I_rel |
| --- | --- | --- |
| 1 1 1 | 27.46 | 100 |
| 2 0 -2 | 35.32 | 14 |
| 1 1 -3 | 35.46 | 38 |
| 2 0 2 | 39.22 | 9 |
| 3 1 -1 | 53.77 | 30 |
| 0 2 4 | 53.98 | 29 |
| 2 2 2 | 56.68 | 16 |
| 2 0 -6 | 61.01 | 9 |
| 3 1 3 | 64.11 | 9 |
| 1 3 -3 | 68.66 | 10 |



Entry 6:
Calculated powder X-ray diffraction pattern of Li9Mn2Co5O16 for Cu Ka, from the PBE+U geometry in the Materials Project.

Structure:
Cell lengths 4.981, 5.918, 9.819 Å; angles 88.20, 79.03, 88.65 degrees
Space group P1 (No. 1)
One atom of each set of equivalent atoms:
Li 0.000 0.000 0.000 (multiplicity 1)
Li 0.001 0.243 0.506 (multiplicity 1)
Li 0.005 0.497 0.002 (multiplicity 1)
Li 0.010 0.747 0.509 (multiplicity 1)
Li 0.252 0.247 0.754 (multiplicity 1)
Li 0.494 0.249 0.005 (multiplicity 1)
Li 0.497 0.487 0.514 (multiplicity 1)
Li 0.499 0.740 0.004 (multiplicity 1)
Li 0.503 0.003 0.511 (multiplicity 1)
Mn 0.253 0.995 0.255 (multiplicity 1)
Mn 0.750 0.999 0.756 (multiplicity 1)
Co 0.250 0.748 0.758 (multiplicity 1)
Co 0.251 0.495 0.257 (multiplicity 1)
Co 0.745 0.489 0.755 (multiplicity 1)
Co 0.751 0.742 0.257 (multiplicity 1)
Co 0.752 0.247 0.256 (multiplicity 1)
O 0.113 0.230 0.136 (multiplicity 1)
O 0.113 0.720 0.141 (multiplicity 1)
O 0.115 0.979 0.647 (multiplicity 1)
O 0.117 0.526 0.655 (multiplicity 1)
O 0.385 0.971 0.863 (multiplicity 1)
O 0.388 0.269 0.374 (multiplicity 1)
O 0.389 0.515 0.865 (multiplicity 1)
O 0.392 0.761 0.374 (multiplicity 1)
O 0.608 0.498 0.143 (multiplicity 1)
O 0.614 0.999 0.141 (multiplicity 1)
O 0.621 0.747 0.650 (multiplicity 1)
O 0.644 0.229 0.636 (multiplicity 1)
O 0.845 0.237 0.865 (multiplicity 1)
O 0.891 0.992 0.370 (multiplicity 1)
O 0.893 0.762 0.871 (multiplicity 1)
O 0.895 0.490 0.371 (multiplicity 1)

The 10 most intense peaks (5° ≤ 2θ ≤ 70°), by angle:
| h k l | Position (°2θ) | I_rel |
| --- | --- | --- |
| 0 0 2 | 18.42 | 100 |
| 1 2 1 | 35.28 | 16 |
| 1 -2 1 | 36.30 | 13 |
| 2 0 0 | 36.76 | 12 |
| 1 2 3 | 42.47 | 30 |
| 1 -2 3 | 44.11 | 26 |
| 2 0 -2 | 44.63 | 25 |
| 0 4 0 | 62.89 | 15 |
| -1 2 5 | 62.94 | 7 |
| 3 2 1 | 63.67 | 7 |